Entry 1:
Structure and computed powder X-ray diffraction pattern of TbInPt4 (a cell relaxed with GGA-PBE; a wavelength of 1.5418 Å).
Lines closer than 0.1° are merged.

Largest 10 diffraction maxima, by intensity, 2θ = 5–70°:
2theta	I/Imax
39.00	100.0
40.81	51.9
63.07	32.8
69.42	30.1
20.08	19.0
33.08	17.7
47.48	10.5
59.09	6.6
52.05	5.0
23.23	0.6

```
data_TbInPt4
_space_group_name_H-M_alt 'F -4 3 m'
_space_group_IT_number 216
_space_group_name_Hall 'F -4 2 3'
_cell_length_a 7.6589
_cell_length_b 7.6589
_cell_length_c 7.6589
_cell_angle_alpha 90.00
_cell_angle_beta 90.00
_cell_angle_gamma 90.00
loop_
_atom_site_label
_atom_site_type_symbol
_atom_site_fract_x
_atom_site_fract_y
_atom_site_fract_z
Tb1 Tb 0.0000 0.0000 0.0000
In1 In 0.2500 0.2500 0.7500
Pt1 Pt 0.1245 0.1245 0.3755
```

---

Entry 2:
Structure and computed powder X-ray diffraction pattern of TbInPt (a cell relaxed with GGA-PBE; a wavelength of 1.5418 Å).
Lines closer than 0.1° are merged.

Largest 10 diffraction maxima, by intensity, 2θ = 5–70°:
2theta	I/Imax
35.51	100.0
32.81	60.4
40.42	40.0
42.74	29.3
65.40	27.1
63.81	20.9
47.15	18.2
23.01	11.8
26.67	11.5
60.37	10.6

```
data_TbInPt
_space_group_name_H-M_alt 'P -6 2 m'
_space_group_IT_number 189
_space_group_name_Hall 'P -6 -2'
_cell_length_a 7.7311
_cell_length_b 7.7311
_cell_length_c 3.8550
_cell_angle_alpha 90.00
_cell_angle_beta 90.00
_cell_angle_gamma 120.00
loop_
_atom_site_label
_atom_site_type_symbol
_atom_site_fract_x
_atom_site_fract_y
_atom_site_fract_z
Tb1 Tb 0.0000 0.4062 0.0000
In1 In 0.0000 0.7391 0.5000
Pt1 Pt 0.0000 0.0000 0.0000
Pt2 Pt 0.3333 0.6667 0.5000
```

---

Entry 3:
Structure and computed powder X-ray diffraction pattern of Tb5In4Pt2 (a cell relaxed with GGA-PBE; a wavelength of 1.5418 Å).
Lines closer than 0.1° are merged.

Largest 10 diffraction maxima, by intensity, 2θ = 5–70°:
2theta	I/Imax
34.30	100.0
33.17	64.1
36.35	38.6
36.05	29.2
35.94	28.5
49.82	19.8
31.22	17.0
36.67	15.8
9.63	15.6
62.97	14.8

```
data_Tb5In4Pt2
_space_group_name_H-M_alt 'P b a m'
_space_group_IT_number 55
_cell_length_a 8.1805
_cell_length_b 18.3668
_cell_length_c 3.6605
_cell_angle_alpha 90.00
_cell_angle_beta 90.00
_cell_angle_gamma 90.00
loop_
_space_group_symop_operation_xyz
'x,y,z'
'-x,-y,-z'
'-x,-y,z'
'x,y,-z'
'x+1/2,-y+1/2,-z'
'-x+1/2,y+1/2,z'
'-x+1/2,y+1/2,-z'
'x+1/2,-y+1/2,z'
loop_
_atom_site_label
_atom_site_type_symbol
_atom_site_fract_x
_atom_site_fract_y
_atom_site_fract_z
Tb1 Tb 0.0000 0.0000 0.0000
Tb2 Tb 0.1157 0.4146 0.0000
Tb3 Tb 0.2434 0.2193 0.0000
In1 In 0.0754 0.8508 0.5000
In2 In 0.2082 0.5671 0.5000
Pt1 Pt 0.0259 0.3028 0.5000
```

---

Entry 4:
Structure and computed powder X-ray diffraction pattern of Tb3In12Pt4 (a cell relaxed with GGA-PBE; a wavelength of 1.5418 Å).
Lines closer than 0.1° are merged.

Largest 10 diffraction maxima, by intensity, 2θ = 5–70°:
2theta	I/Imax
35.62	100.0
32.97	88.7
35.73	70.3
32.28	53.4
64.14	49.3
42.93	38.2
38.81	31.5
41.92	26.1
34.83	22.7
11.67	19.6

```
data_Tb3In12Pt4
_space_group_name_H-M_alt 'P -3 m 1'
_space_group_IT_number 164
_space_group_name_Hall '-P 3 2"'
_cell_length_a 10.0515
_cell_length_b 10.0515
_cell_length_c 15.4561
_cell_angle_alpha 90.00
_cell_angle_beta 90.00
_cell_angle_gamma 120.00
loop_
_atom_site_label
_atom_site_type_symbol
_atom_site_fract_x
_atom_site_fract_y
_atom_site_fract_z
Tb1 Tb 0.0000 0.0000 0.0000
Tb2 Tb 0.0148 0.5074 0.1947
Tb3 Tb 0.3333 0.6667 0.5136
In1 In 0.0000 0.0000 0.3726
In2 In 0.0000 0.2869 0.5000
In3 In 0.0000 0.3498 0.0000
In4 In 0.1186 0.2373 0.1786
In5 In 0.2122 0.4245 0.6865
In6 In 0.2216 0.4431 0.3325
In7 In 0.3333 0.6667 0.0807
In8 In 0.3333 0.6667 0.8841
Pt1 Pt 0.0108 0.5054 0.6110
Pt2 Pt 0.1725 0.3450 0.8614
```

---

Entry 5:
Structure and computed powder X-ray diffraction pattern of Tb2In16Pt7 (a cell relaxed with GGA-PBE; a wavelength of 1.5418 Å).
Lines closer than 0.1° are merged.

Largest 10 diffraction maxima, by intensity, 2θ = 5–70°:
2theta	I/Imax
39.68	100.0
37.05	83.9
40.39	56.8
22.69	32.5
24.59	30.2
67.57	24.0
33.25	23.3
30.65	23.0
40.72	20.9
29.83	17.5

```
data_Tb2In16Pt7
_space_group_name_H-M_alt 'C m m m'
_space_group_IT_number 65
_space_group_name_Hall '-C 2 2'
_cell_length_a 12.3603
_cell_length_b 20.2719
_cell_length_c 4.4662
_cell_angle_alpha 90.00
_cell_angle_beta 90.00
_cell_angle_gamma 90.00
loop_
_atom_site_label
_atom_site_type_symbol
_atom_site_fract_x
_atom_site_fract_y
_atom_site_fract_z
Tb1 Tb 0.1688 0.0000 0.0000
In1 In 0.0000 0.0731 0.5000
In2 In 0.1244 0.1628 0.0000
In3 In 0.1303 0.3868 0.0000
In4 In 0.1322 0.5000 0.5000
In5 In 0.1352 0.2765 0.5000
Pt1 Pt 0.0000 0.2757 0.0000
Pt2 Pt 0.0000 0.5000 0.0000
Pt3 Pt 0.2245 0.1089 0.5000
```

---

Entry 6:
Structure and computed powder X-ray diffraction pattern of TbInPt2 (a cell relaxed with GGA-PBE; a wavelength of 1.5418 Å).
Lines closer than 0.1° are merged.

Largest 10 diffraction maxima, by intensity, 2θ = 5–70°:
2theta	I/Imax
37.51	100.0
38.79	77.9
68.54	29.4
55.06	28.3
67.69	17.8
30.27	15.4
21.15	12.9
43.46	12.3
48.58	11.4
23.90	8.7

```
data_TbInPt2
_space_group_name_H-M_alt 'P 63/m m c'
_space_group_IT_number 194
_space_group_name_Hall '-P 6c 2c'
_cell_length_a 4.7952
_cell_length_b 4.7952
_cell_length_c 8.4001
_cell_angle_alpha 90.00
_cell_angle_beta 90.00
_cell_angle_gamma 120.00
loop_
_atom_site_label
_atom_site_type_symbol
_atom_site_fract_x
_atom_site_fract_y
_atom_site_fract_z
Tb1 Tb 0.0000 0.0000 0.0000
In1 In 0.3333 0.6667 0.2500
Pt1 Pt 0.3333 0.6667 0.5910
```

---

Entry 7:
Structure and computed powder X-ray diffraction pattern of TmInPt2 (a cell relaxed with GGA-PBE; a wavelength of 1.5418 Å).
Lines closer than 0.1° are merged.

Largest 8 diffraction maxima, by intensity, 2θ = 5–70°:
2theta	I/Imax
37.72	100.0
68.11	35.6
54.41	17.5
26.43	2.6
22.84	1.4
61.48	1.2
46.65	0.8
44.55	0.8

```
data_TmInPt2
_space_group_name_H-M_alt 'F m -3 m'
_space_group_IT_number 225
_space_group_name_Hall '-F 4 2 3'
_cell_length_a 6.7447
_cell_length_b 6.7447
_cell_length_c 6.7447
_cell_angle_alpha 90.00
_cell_angle_beta 90.00
_cell_angle_gamma 90.00
loop_
_atom_site_label
_atom_site_type_symbol
_atom_site_fract_x
_atom_site_fract_y
_atom_site_fract_z
Tm1 Tm 0.0000 0.0000 0.0000
In1 In 0.0000 0.0000 0.5000
Pt1 Pt 0.2500 0.2500 0.2500
```

---

Entry 8:
Structure and computed powder X-ray diffraction pattern of UInPt (a cell relaxed with GGA-PBE; a wavelength of 1.5418 Å).
Lines closer than 0.1° are merged.

Largest 10 diffraction maxima, by intensity, 2θ = 5–70°:
2theta	I/Imax
35.31	100.0
32.32	76.0
43.22	48.8
37.17	31.8
67.62	31.7
42.37	27.5
62.14	18.0
58.30	17.2
56.30	17.1
51.48	12.6

```
data_UInPt
_space_group_name_H-M_alt 'P -6 2 m'
_space_group_IT_number 189
_space_group_name_Hall 'P -6 -2'
_cell_length_a 7.3900
_cell_length_b 7.3900
_cell_length_c 4.1853
_cell_angle_alpha 90.00
_cell_angle_beta 90.00
_cell_angle_gamma 120.00
loop_
_atom_site_label
_atom_site_type_symbol
_atom_site_fract_x
_atom_site_fract_y
_atom_site_fract_z
U1 U 0.0000 0.4176 0.0000
In1 In 0.0000 0.7493 0.5000
Pt1 Pt 0.0000 0.0000 0.0000
Pt2 Pt 0.3333 0.6667 0.5000
```

---

Entry 9:
Structure and computed powder X-ray diffraction pattern of U2InPt2 (a cell relaxed with GGA-PBE; a wavelength of 1.5418 Å).
Lines closer than 0.1° are merged.

Largest 10 diffraction maxima, by intensity, 2θ = 5–70°:
2theta	I/Imax
35.63	100.0
36.26	37.9
69.64	16.6
33.68	14.3
63.58	14.0
54.52	13.1
16.00	12.0
50.31	10.7
49.36	9.2
46.36	7.1

```
data_U2InPt2
_space_group_name_H-M_alt 'P 42/m n m'
_space_group_IT_number 136
_space_group_name_Hall '-P 4n 2n'
_cell_length_a 7.8335
_cell_length_b 7.8335
_cell_length_c 7.2549
_cell_angle_alpha 90.00
_cell_angle_beta 90.00
_cell_angle_gamma 90.00
loop_
_atom_site_label
_atom_site_type_symbol
_atom_site_fract_x
_atom_site_fract_y
_atom_site_fract_z
U1 U 0.1584 0.1584 0.0000
U2 U 0.1768 0.1768 0.5000
In1 In 0.0000 0.5000 0.2500
Pt1 Pt 0.1343 0.8657 0.2674
```

---

Entry 10:
Structure and computed powder X-ray diffraction pattern of U2InPt2 (a cell relaxed with GGA-PBE; a wavelength of 1.5418 Å).
Lines closer than 0.1° are merged.

Largest 10 diffraction maxima, by intensity, 2θ = 5–70°:
2theta	I/Imax
35.62	100.0
36.30	36.9
69.69	16.7
63.55	14.7
33.67	14.3
54.55	13.2
16.02	11.7
50.24	11.2
49.41	9.1
46.41	7.0

```
data_U2InPt2
_space_group_name_H-M_alt 'P 4/m b m'
_space_group_IT_number 127
_space_group_name_Hall '-P 4 2ab'
_cell_length_a 7.8261
_cell_length_b 7.8261
_cell_length_c 3.6319
_cell_angle_alpha 90.00
_cell_angle_beta 90.00
_cell_angle_gamma 90.00
loop_
_atom_site_label
_atom_site_type_symbol
_atom_site_fract_x
_atom_site_fract_y
_atom_site_fract_z
U1 U 0.1680 0.3320 0.0000
In1 In 0.0000 0.0000 0.5000
Pt1 Pt 0.1336 0.6336 0.5000
```

---

Entry 11:
Structure and computed powder X-ray diffraction pattern of YInPt2 (a cell relaxed with GGA-PBE; a wavelength of 1.5418 Å).
Lines closer than 0.1° are merged.

Largest 10 diffraction maxima, by intensity, 2θ = 5–70°:
2theta	I/Imax
37.36	100.0
39.26	92.4
55.32	32.4
69.92	32.2
24.45	18.5
19.57	16.3
22.37	16.0
46.07	13.7
66.11	13.3
44.23	12.3

```
data_YInPt2
_space_group_name_H-M_alt 'P 63/m m c'
_space_group_IT_number 194
_space_group_name_Hall '-P 6c 2c'
_cell_length_a 4.5891
_cell_length_b 4.5891
_cell_length_c 9.0738
_cell_angle_alpha 90.00
_cell_angle_beta 90.00
_cell_angle_gamma 120.00
loop_
_atom_site_label
_atom_site_type_symbol
_atom_site_fract_x
_atom_site_fract_y
_atom_site_fract_z
Y1 Y 0.3333 0.6667 0.2500
In1 In 0.0000 0.0000 0.0000
Pt1 Pt 0.3333 0.6667 0.5922
```

---

Entry 12:
Structure and computed powder X-ray diffraction pattern of YInPt (a cell relaxed with GGA-PBE; a wavelength of 1.5418 Å).
Lines closer than 0.1° are merged.

Largest 10 diffraction maxima, by intensity, 2θ = 5–70°:
2theta	I/Imax
35.50	100.0
32.80	47.9
42.73	46.8
40.42	45.9
63.75	35.6
23.02	35.0
47.08	32.1
65.40	29.1
26.67	18.1
60.32	11.3

```
data_YInPt
_space_group_name_H-M_alt 'P -6 2 m'
_space_group_IT_number 189
_space_group_name_Hall 'P -6 -2'
_cell_length_a 7.7306
_cell_length_b 7.7306
_cell_length_c 3.8578
_cell_angle_alpha 90.00
_cell_angle_beta 90.00
_cell_angle_gamma 120.00
loop_
_atom_site_label
_atom_site_type_symbol
_atom_site_fract_x
_atom_site_fract_y
_atom_site_fract_z
Y1 Y 0.0000 0.4068 0.0000
In1 In 0.0000 0.7396 0.5000
Pt1 Pt 0.0000 0.0000 0.0000
Pt2 Pt 0.3333 0.6667 0.5000
```